Calculated PXRD pattern
Compound: Na3Sc2P3O12
Radiation: a wavelength of 1.5418 Å
Structure: a crystal structure in the Materials Project, relaxed with GGA-PBE

Crystal structure
```
data_Na3Sc2P3O12
_cell_length_a 15.558
_cell_length_b 9.022
_cell_length_c 9.220
_cell_angle_alpha 90.00
_cell_angle_beta 123.41
_cell_angle_gamma 90.00
_space_group_name_H-M_alt 'C 1 c 1'
_space_group_IT_number 9
loop_
_space_group_symop_operation_xyz
'x,y,z'
'x,-y,z+1/2'
'x+1/2,y+1/2,z'
'x+1/2,-y+1/2,z+1/2'
loop_
_atom_site_label
_atom_site_type_symbol
_atom_site_fract_x
_atom_site_fract_y
_atom_site_fract_z
Na1 Na 0.000 0.075 0.000
Na2 Na 0.165 0.389 0.414
Na3 Na 0.360 0.148 0.739
Sc1 Sc 0.074 0.253 0.631
Sc2 Sc 0.273 0.247 0.234
P1 P 0.031 0.391 0.941
P2 P 0.169 0.045 0.429
P3 P 0.314 0.390 0.920
O1 O 0.025 0.440 0.462
O2 O 0.057 0.372 0.802
O3 O 0.090 0.139 0.443
O4 O 0.108 0.053 0.765
O5 O 0.116 0.317 0.114
O6 O 0.229 0.317 0.745
O7 O 0.234 0.051 0.095
O8 O 0.245 0.151 0.421
O9 O 0.290 0.367 0.060
O10 O 0.318 0.440 0.397
O11 O 0.419 0.322 0.973
O12 O 0.428 0.185 0.383
```

Largest 10 diffraction maxima, in order of rising 2θ, 2θ from 15° to 90°:
d_spacing  Rel. int.  h k l
4.657  324  1 1 1
4.604  357  2 0 -2
3.896  771  0 2 1
3.858  1000  3 1 -2
3.247  252  4 0 0
3.222  432  2 2 -2
2.941  539  3 1 1
2.927  942  0 2 2
2.907  417  3 1 -3
2.602  354  3 3 -1

Calculated PXRD pattern
Compound: Nb4NiC2S4
Radiation: a wavelength of 1.5418 Å
Structure: a crystal structure in the Materials Project, relaxed with GGA-PBE

Crystal structure
```
data_Nb4NiC2S4
_cell_length_a 5.736
_cell_length_b 3.320
_cell_length_c 8.656
_cell_angle_alpha 90.00
_cell_angle_beta 102.24
_cell_angle_gamma 90.00
_space_group_name_H-M_alt 'P 1 2/m 1'
_space_group_IT_number 10
loop_
_space_group_symop_operation_xyz
'x,y,z'
'-x,-y,-z'
'-x,y,-z'
'x,-y,z'
loop_
_atom_site_label
_atom_site_type_symbol
_atom_site_fract_x
_atom_site_fract_y
_atom_site_fract_z
Nb1 Nb 0.115 0.000 0.363
Nb2 Nb 0.369 0.500 0.637
Ni1 Ni 0.000 0.000 0.000
C1 C 0.000 0.500 0.500
C2 C 0.500 0.000 0.500
S1 S 0.224 0.500 0.163
S2 S 0.277 0.000 0.835
```

Largest 10 diffraction maxima, in order of rising 2θ, 2θ from 15° to 90°:
d_spacing  Rel. int.  h k l
2.856  914  1 1 0
2.847  467  2 0 -1
2.506  450  2 0 1
2.495  954  1 1 -2
2.257  813  1 1 2
2.239  374  2 0 -3
2.137  570  2 0 2
2.125  1000  1 1 -3
1.660  348  0 2 0
1.657  682  3 1 -1

Calculated PXRD pattern
Compound: CdBiS2Br
Radiation: a wavelength of 1.5418 Å
Structure: a crystal structure in the Materials Project, relaxed with GGA-PBE

Crystal structure
```
data_CdBiS2Br
_cell_length_a 13.208
_cell_length_b 4.059
_cell_length_c 9.713
_cell_angle_alpha 90.00
_cell_angle_beta 91.75
_cell_angle_gamma 90.00
_space_group_name_H-M_alt 'C 1 2/m 1'
_space_group_IT_number 12
loop_
_space_group_symop_operation_xyz
'x,y,z'
'-x,-y,-z'
'-x,y,-z'
'x,-y,z'
'x+1/2,y+1/2,z'
'-x+1/2,-y+1/2,-z'
'-x+1/2,y+1/2,-z'
'x+1/2,-y+1/2,z'
loop_
_atom_site_label
_atom_site_type_symbol
_atom_site_fract_x
_atom_site_fract_y
_atom_site_fract_z
Cd1 Cd 0.000 0.000 0.000
Cd2 Cd 0.000 0.000 0.500
Bi1 Bi 0.218 0.500 0.306
S1 S 0.082 0.000 0.256
S2 S 0.144 0.500 0.554
Br1 Br 0.138 0.500 0.928
```

Largest 10 diffraction maxima, in order of rising 2θ, 2θ from 15° to 90°:
d_spacing  Rel. int.  h k l
3.855  884  2 0 2
3.614  320  1 1 -1
3.044  493  1 1 -2
2.984  1000  3 1 0
2.941  485  2 0 -3
2.869  349  3 1 -1
2.835  377  3 1 1
2.049  285  1 1 4
2.032  643  0 2 0
1.903  292  3 1 -4

Calculated PXRD pattern
Compound: Mn2SbTe
Radiation: a wavelength of 1.5418 Å
Structure: a crystal structure in the Materials Project, relaxed with GGA-PBE

Crystal structure
```
data_Mn2SbTe
_cell_length_a 3.862
_cell_length_b 7.244
_cell_length_c 6.618
_cell_angle_alpha 90.00
_cell_angle_beta 90.00
_cell_angle_gamma 90.00
_space_group_name_H-M_alt 'P m n 21'
_space_group_IT_number 31
loop_
_space_group_symop_operation_xyz
'x,y,z'
'-x+1/2,-y,z+1/2'
'-x,y,z'
'x+1/2,-y,z+1/2'
loop_
_atom_site_label
_atom_site_type_symbol
_atom_site_fract_x
_atom_site_fract_y
_atom_site_fract_z
Mn1 Mn 0.000 0.006 0.000
Mn2 Mn 0.000 0.494 0.340
Sb1 Sb 0.000 0.752 0.670
Te1 Te 0.000 0.253 0.673
```

Largest 10 diffraction maxima, in order of rising 2θ, 2θ from 15° to 90°:
d_spacing  Rel. int.  h k l
3.336  467  1 0 1
3.309  214  0 0 2
3.030  199  1 1 1
2.454  1000  1 2 1
2.443  514  0 2 2
1.931  172  2 0 0
1.916  334  1 0 3
1.811  138  0 4 0
1.515  224  2 2 2
1.316  184  1 4 3

Calculated PXRD pattern
Compound: SrAl2O4
Radiation: a wavelength of 1.5418 Å
Structure: a crystal structure in the Materials Project, relaxed with GGA-PBE

Crystal structure
```
data_SrAl2O4
_cell_length_a 9.035
_cell_length_b 5.193
_cell_length_c 8.670
_cell_angle_alpha 90.00
_cell_angle_beta 93.88
_cell_angle_gamma 90.00
_space_group_name_H-M_alt 'C 1 2 1'
_space_group_IT_number 5
loop_
_space_group_symop_operation_xyz
'x,y,z'
'-x,y,-z'
'x+1/2,y+1/2,z'
'-x+1/2,y+1/2,-z'
loop_
_atom_site_label
_atom_site_type_symbol
_atom_site_fract_x
_atom_site_fract_y
_atom_site_fract_z
Sr1 Sr 0.002 0.000 0.249
Al1 Al 0.167 0.519 0.555
Al2 Al 0.169 0.528 0.946
O1 O 0.000 0.349 0.500
O2 O 0.000 0.658 0.000
O3 O 0.174 0.617 0.750
O4 O 0.177 0.187 0.958
O5 O 0.177 0.811 0.454
```

Largest 10 diffraction maxima, in order of rising 2θ, 2θ from 15° to 90°:
d_spacing  Rel. int.  h k l
4.502  598  1 1 0
3.232  485  2 0 -2
3.172  914  1 1 -2
3.067  659  1 1 2
3.020  230  2 0 2
2.600  1000  3 1 0
2.251  194  2 2 0
2.162  265  0 0 4
1.969  222  2 2 2
1.500  220  3 3 0

Calculated PXRD pattern
Compound: MoW2Se2S4
Radiation: a wavelength of 1.5418 Å
Structure: a crystal structure in the Materials Project, relaxed with GGA-PBE

Crystal structure
```
data_MoW2Se2S4
_cell_length_a 3.2342
_cell_length_b 3.2342
_cell_length_c 29.6530
_cell_angle_alpha 90.00
_cell_angle_beta 90.00
_cell_angle_gamma 120.00
_space_group_name_H-M_alt 'P 3 m 1'
_space_group_IT_number 156
loop_
_space_group_symop_operation_xyz
'x,y,z'
'-y,x-y,z'
'-x+y,-x,z'
'-y,-x,z'
'-x+y,y,z'
'x,x-y,z'
loop_
_atom_site_label
_atom_site_type_symbol
_atom_site_fract_x
_atom_site_fract_y
_atom_site_fract_z
Mo1 Mo 0.0000 0.0000 0.0000
W1 W 0.6667 0.3333 0.2314
W2 W 0.6667 0.3333 0.7687
Se1 Se 0.0000 0.0000 0.1735
Se2 Se 0.0000 0.0000 0.2892
S1 S 0.0000 0.0000 0.7162
S2 S 0.0000 0.0000 0.8212
S3 S 0.6667 0.3333 0.0523
S4 S 0.6667 0.3333 0.9477
```

Largest 10 diffraction maxima, in order of rising 2θ, 2θ from 15° to 90°:
d_spacing  Rel. int.  h k l
2.801  569  1 0 0
2.752  531  1 0 2
2.620  556  1 0 4
2.437  949  0 1 6
2.336  1000  1 0 7
2.134  347  1 0 9
2.036  343  0 1 10
1.942  861  1 0 11
1.616  647  1 1 0
1.580  295  1 1 4

Calculated PXRD pattern
Compound: Bi2Te2S
Radiation: a wavelength of 1.5418 Å
Structure: a crystal structure in the Materials Project, relaxed with GGA-PBE

Crystal structure
```
data_Bi2Te2S
_cell_length_a 4.442
_cell_length_b 4.445
_cell_length_c 9.558
_cell_angle_alpha 79.97
_cell_angle_beta 78.40
_cell_angle_gamma 89.96
_space_group_name_H-M_alt 'P -1'
_space_group_IT_number 2
loop_
_space_group_symop_operation_xyz
'x,y,z'
'-x,-y,-z'
loop_
_atom_site_label
_atom_site_type_symbol
_atom_site_fract_x
_atom_site_fract_y
_atom_site_fract_z
Bi1 Bi 0.136 0.111 0.225
Te1 Te 0.323 0.330 0.852
S1 S 0.000 0.000 0.500
```

Largest 10 diffraction maxima, in order of rising 2θ, 2θ from 15° to 90°:
d_spacing  Rel. int.  h k l
4.607  482  0 0 2
4.374  125  0 1 0
3.138  1000  1 -1 0
3.071  208  0 0 3
2.676  142  1 1 -1
2.619  136  1 -1 2
2.219  443  2 0 1
2.126  134  1 1 4
1.569  124  2 -2 0
1.404  169  3 -1 1

Calculated PXRD pattern
Compound: Cs2MgH4
Radiation: a wavelength of 1.5418 Å
Structure: a crystal structure in the Materials Project, relaxed with GGA-PBE

Crystal structure
```
data_Cs2MgH4
_cell_length_a 8.657
_cell_length_b 6.634
_cell_length_c 11.704
_cell_angle_alpha 90.00
_cell_angle_beta 90.00
_cell_angle_gamma 90.00
_space_group_name_H-M_alt 'P n m a'
_space_group_IT_number 62
loop_
_space_group_symop_operation_xyz
'x,y,z'
'-x,-y,-z'
'-x+1/2,-y,z+1/2'
'x+1/2,y,-z+1/2'
'x+1/2,-y+1/2,-z+1/2'
'-x+1/2,y+1/2,z+1/2'
'-x,y+1/2,-z'
'x,-y+1/2,z'
loop_
_atom_site_label
_atom_site_type_symbol
_atom_site_fract_x
_atom_site_fract_y
_atom_site_fract_z
Cs1 Cs 0.008 0.250 0.191
Cs2 Cs 0.159 0.750 0.418
Mg1 Mg 0.236 0.750 0.088
H1 H 0.022 0.750 0.087
H2 H 0.182 0.250 0.440
H3 H 0.187 0.021 0.659
```

Largest 10 diffraction maxima, in order of rising 2θ, 2θ from 15° to 90°:
d_spacing  Rel. int.  h k l
4.802  414  1 1 1
3.914  1000  1 1 2
3.557  263  1 0 3
3.480  316  2 0 2
3.463  896  2 1 1
3.363  741  0 1 3
3.317  646  0 2 0
2.802  247  3 0 1
2.140  251  3 2 1
1.963  390  3 1 4

Calculated PXRD pattern
Compound: Li2CuF5
Radiation: a wavelength of 1.5418 Å
Structure: a crystal structure in the Materials Project, relaxed with GGA-PBE

Crystal structure
```
data_Li2CuF5
_cell_length_a 7.168
_cell_length_b 5.361
_cell_length_c 9.495
_cell_angle_alpha 90.00
_cell_angle_beta 90.00
_cell_angle_gamma 90.00
_space_group_name_H-M_alt 'P n m a'
_space_group_IT_number 62
loop_
_space_group_symop_operation_xyz
'x,y,z'
'-x,-y,-z'
'-x+1/2,-y,z+1/2'
'x+1/2,y,-z+1/2'
'x+1/2,-y+1/2,-z+1/2'
'-x+1/2,y+1/2,z+1/2'
'-x,y+1/2,-z'
'x,-y+1/2,z'
loop_
_atom_site_label
_atom_site_type_symbol
_atom_site_fract_x
_atom_site_fract_y
_atom_site_fract_z
Li1 Li 0.049 0.250 0.229
Li2 Li 0.101 0.250 0.931
Cu1 Cu 0.182 0.250 0.549
F1 F 0.000 0.000 0.500
F2 F 0.097 0.250 0.733
F3 F 0.135 0.005 0.088
F4 F 0.236 0.750 0.858
```

Largest 10 diffraction maxima, in order of rising 2θ, 2θ from 15° to 90°:
d_spacing  Rel. int.  h k l
4.748  388  0 0 2
3.958  207  1 0 2
3.912  1000  1 1 1
2.979  296  2 1 0
2.253  151  1 0 4
2.094  107  2 2 1
1.790  114  0 1 5
1.777  112  2 2 3
1.753  209  3 2 1
1.600  159  4 1 2